This entry pairs a crystal structure of MnSb6Pb4S14 with its calculated powder diffraction line list. Radiation: Cu Kα, 1.54184 Å. Structure: a structure optimized by DFT (GGA-PBE).
Neutral-atom scattering factors, no anomalous dispersion.

Structure:
```
50
Lattice="4.036 0.000 0.000 0.000 19.379 0.000 -0.564 0.000 15.969" Properties=species:S:1:pos:R:3 pbc="T T T"
Mn 0.000 0.000 0.000
Mn -0.282 9.689 7.984
Sb 1.181 0.957 9.632
Sb 1.312 3.098 5.917
Sb 1.031 6.591 13.901
Sb 1.463 8.733 1.648
Sb 1.473 10.898 5.075
Sb 1.191 18.170 13.060
Sb 2.281 1.208 2.909
Sb 1.999 8.481 10.894
Sb 2.009 10.646 14.321
Sb 2.442 12.787 2.068
Sb 2.160 16.281 10.052
Sb 2.291 18.422 6.337
Pb -0.227 12.401 10.945
Pb 0.055 16.667 2.961
Pb -0.263 14.331 14.805
Pb 0.019 14.737 6.821
Pb 3.453 4.642 9.148
Pb 3.735 5.047 1.164
Pb 3.418 2.712 13.008
Pb 3.700 6.978 5.024
S 0.017 2.033 1.325
S -0.264 7.656 9.310
S -0.323 9.762 12.562
S -0.041 19.305 4.577
S 0.209 11.645 0.052
S -0.073 17.423 8.036
S 0.257 13.610 3.557
S -0.025 15.458 11.541
S 1.156 4.470 15.144
S 1.438 5.219 7.159
S 1.400 3.086 10.888
S 1.682 6.603 2.904
S 1.404 0.852 14.427
S 1.686 8.837 6.442
S 1.787 10.541 9.527
S 2.069 18.527 1.542
S 1.790 12.775 13.065
S 2.072 16.292 5.081
S 2.035 14.159 8.810
S 2.316 14.909 0.825
S 3.497 3.921 4.427
S 3.215 5.769 12.412
S 3.545 1.956 7.933
S 3.264 7.734 15.917
S 3.514 0.073 11.392
S 3.795 9.616 3.407
S 3.737 11.722 6.659
S 3.455 17.345 14.643
```

Main lines, low angle first (5 to 70 degrees two-theta):
two_theta  I_rel
21.45  32.5
22.74  42.2
23.90  26.6
24.73  37.7
25.55  100.0
28.07  42.7
29.72  18.9
31.30  65.9
31.50  42.8
32.40  75.1
39.78  22.3
43.58  27.4

This entry pairs a crystal structure of MnPd with its calculated powder diffraction line list. Radiation: Cu Kα, 1.54184 Å. Structure: a structure optimized by DFT (GGA-PBE).
Neutral-atom scattering factors, no anomalous dispersion.

Structure:
```
2
Lattice="3.012 0.000 0.000 0.000 3.012 0.000 0.000 0.000 3.370" Properties=species:S:1:pos:R:3 pbc="T T T"
Mn 0.000 0.000 0.000
Pd 1.506 1.506 1.685
```

Main lines, low angle first (5 to 70 degrees two-theta):
two_theta  I_rel
26.45  7.6
29.66  11.4
40.15  100.0
42.44  42.5
50.70  5.4
54.45  9.9
61.57  13.4
63.23  2.9
68.20  2.3
69.81  2.2

This entry pairs a crystal structure of MnPd with its calculated powder diffraction line list. Radiation: Cu Kα, 1.54184 Å. Structure: a structure optimized by DFT (GGA-PBE).
Neutral-atom scattering factors, no anomalous dispersion.

Structure:
```
2
Lattice="3.127 0.000 0.000 0.000 3.127 0.000 0.000 0.000 3.127" Properties=species:S:1:pos:R:3 pbc="T T T"
Mn 0.000 0.000 0.000
Pd 1.563 1.563 1.563
```

Main lines, low angle first (5 to 70 degrees two-theta):
two_theta  I_rel
28.55  13.2
40.81  100.0
50.56  3.8
59.09  16.0
66.91  5.2

This entry pairs a crystal structure of Mn11Pd21 with its calculated powder diffraction line list. Radiation: Cu Kα, 1.54184 Å. Structure: a structure optimized by DFT (GGA-PBE).
Neutral-atom scattering factors, no anomalous dispersion.

Structure:
```
32
Lattice="8.097 0.000 0.000 0.000 8.097 0.000 0.000 0.000 7.438" Properties=species:S:1:pos:R:3 pbc="T T T"
Mn 0.000 0.000 0.000
Mn 0.000 4.048 3.719
Mn 2.019 2.019 3.719
Mn 2.019 6.078 3.719
Mn 2.081 2.081 0.000
Mn 2.081 6.015 0.000
Mn 4.048 0.000 3.719
Mn 6.015 2.081 0.000
Mn 6.015 6.015 0.000
Mn 6.078 2.019 3.719
Mn 6.078 6.078 3.719
Pd 0.000 0.000 3.719
Pd 0.000 2.019 1.844
Pd 0.000 2.019 5.593
Pd 0.000 4.048 0.000
Pd 0.000 6.078 1.844
Pd 0.000 6.078 5.593
Pd 1.998 4.048 1.912
Pd 1.998 4.048 5.526
Pd 2.019 0.000 1.844
Pd 2.019 0.000 5.593
Pd 4.048 0.000 0.000
Pd 4.048 1.998 1.912
Pd 4.048 1.998 5.526
Pd 4.048 4.048 0.000
Pd 4.048 4.048 3.719
Pd 4.048 6.098 1.912
Pd 4.048 6.098 5.526
Pd 6.078 0.000 1.844
Pd 6.078 0.000 5.593
Pd 6.098 4.048 1.912
Pd 6.098 4.048 5.526
```

Main lines, low angle first (5 to 70 degrees two-theta):
two_theta  I_rel
19.57  1.8
21.96  1.9
23.93  3.7
31.25  3.8
32.70  1.4
39.74  100.0
44.77  35.3
48.99  13.4
51.38  2.3
59.26  1.3
65.18  11.1
68.53  18.7